(1)
Pm4GaRh4: computed X-ray powder pattern (Cu Kα (weighted mean of Kα1 and Kα2)), based on the GGA-PBE geometry in Alexandria.
No peak broadening, texture or thermal motion is included.

Structural model:
```
18
Lattice="8.0479 0.0000 0.0000 0.0000 5.5884 0.0000 -6.1652 0.0000 9.1058" Properties=species:S:1:pos:R:3 pbc="T T T"
Pm 0.3545 0.6513 1.7531
Pm -2.7281 4.9371 6.3060
Pm -3.6050 2.1198 8.4023
Pm -0.5224 3.4685 3.8495
Pm 2.4052 2.1198 5.2563
Pm 5.4878 3.4685 0.7034
Pm 4.6108 0.6513 2.7998
Pm 1.5282 4.9371 7.3527
Ga -0.5999 1.9176 6.8293
Ga 2.4827 3.6708 2.2764
Rh -2.6782 2.0681 5.5743
Rh 0.4044 3.5203 1.0214
Rh -0.3157 0.6251 4.6146
Rh 2.7669 4.9632 0.0617
Rh -0.8842 0.6251 9.0441
Rh 2.1984 4.9632 4.4912
Rh 1.4783 2.0681 8.0843
Rh 4.5609 3.5203 3.5315
```

Largest 6 diffraction maxima, sorted by position, 2θ = 10–80°:
d_spacing, two_theta, intensity
3.332, 26.75, 32
2.672, 33.53, 100
2.658, 33.72, 36
2.398, 37.50, 22
2.275, 39.62, 43
2.216, 40.72, 31

=====

(2)
Pa8Ti3: computed X-ray powder pattern (Cu Kα (weighted mean of Kα1 and Kα2)), based on the GGA-PBE geometry in Alexandria.
No peak broadening, texture or thermal motion is included.

Structural model:
```
11
Lattice="5.4383 0.0000 0.0000 -1.9026 5.1400 0.0000 -0.4742 -1.8019 9.1133" Properties=species:S:1:pos:R:3 pbc="T T T"
Pa -0.0403 -0.0931 1.5143
Pa -0.8432 2.2494 3.1528
Pa 1.2725 0.7462 7.5215
Pa 0.5766 3.2257 5.8244
Pa 2.4849 0.1123 3.2890
Pa 1.7890 2.5918 1.5918
Pa 3.9047 1.0886 5.9605
Pa 3.1019 3.4311 7.5990
Ti -0.2371 -0.9010 4.5567
Ti -0.9513 2.5700 0.0000
Ti 2.7192 0.0000 0.0000
```

Largest 6 diffraction maxima, sorted by position, 2θ = 10–80°:
d_spacing, two_theta, intensity
3.908, 22.75, 55
2.597, 34.53, 100
2.561, 35.04, 50
2.533, 35.44, 69
2.436, 36.91, 61
2.394, 37.57, 62

=====

(3)
La2PmSmDy2: computed X-ray powder pattern (Cu Kα (weighted mean of Kα1 and Kα2)), based on the GGA-PBE geometry in Alexandria.
No peak broadening, texture or thermal motion is included.

Structural model:
```
12
Lattice="7.1241 0.0000 0.0000 0.0000 5.7731 0.0000 0.0000 0.0000 9.9893" Properties=species:S:1:pos:R:3 pbc="T T T"
La 0.0000 0.0000 0.0000
La 1.7810 2.8865 1.6928
La 3.5621 0.0000 0.0000
La 5.3431 2.8865 8.2965
Pm 0.0000 2.8865 4.9946
Pm 3.5621 2.8865 4.9946
Sm 1.7810 0.0000 6.6347
Sm 5.3431 0.0000 3.3546
Dy 1.7810 0.0000 3.3438
Dy 1.7810 2.8865 8.3158
Dy 5.3431 0.0000 6.6455
Dy 5.3431 2.8865 1.6735
```

Largest 6 diffraction maxima, sorted by position, 2θ = 10–80°:
d_spacing, two_theta, intensity
2.901, 30.83, 88
2.885, 31.00, 100
2.046, 44.28, 33
1.669, 55.03, 34
1.666, 55.14, 20
1.516, 61.15, 29

=====

(4)
Na8B11C5: computed X-ray powder pattern (Cu Kα (weighted mean of Kα1 and Kα2)), based on the GGA-PBE geometry in Alexandria.
No peak broadening, texture or thermal motion is included.

Structural model:
```
24
Lattice="4.9928 0.0000 0.0000 0.0000 8.5637 0.0000 -0.0071 0.0000 5.8292" Properties=species:S:1:pos:R:3 pbc="T T T"
Na 0.0000 2.1122 0.0000
Na 0.0000 6.4514 0.0000
Na 0.0006 2.1211 2.9138
Na 0.0006 6.4426 2.9138
Na 2.4953 2.1453 1.4611
Na 2.4953 6.4184 1.4611
Na 2.4983 2.1139 4.3756
Na 2.4983 6.4497 4.3756
B 0.8142 0.0000 4.3690
B 0.8182 4.2818 1.5107
B 0.9676 4.2818 4.2821
B 1.5850 4.2818 5.8202
B 1.7082 0.0000 0.0731
B 1.7065 0.0000 2.8496
B 3.3180 4.2818 2.8636
B 3.4640 4.2818 0.0869
B 4.0883 0.0000 4.3755
B 4.0873 4.2818 4.3872
B 4.1788 0.0000 1.4593
C 0.8446 0.0000 1.4553
C 1.6264 4.2818 2.8778
C 3.3283 0.0000 0.0262
C 3.3272 0.0000 2.8857
C 4.1229 4.2818 1.4993
```

Largest 6 diffraction maxima, sorted by position, 2θ = 10–80°:
d_spacing, two_theta, intensity
2.517, 35.67, 20
2.170, 41.62, 100
2.157, 41.89, 53
2.141, 42.21, 39
1.445, 64.47, 17
1.242, 76.77, 12

=====

(5)
Th2VTe2Br4: computed X-ray powder pattern (Cu Kα (weighted mean of Kα1 and Kα2)), based on the GGA-PBE geometry in Alexandria.
No peak broadening, texture or thermal motion is included.

Structural model:
```
9
Lattice="3.7456 0.0000 0.0000 -1.8728 3.2438 0.0000 0.0000 0.0000 24.2025" Properties=species:S:1:pos:R:3 pbc="T T T"
Th 0.0000 0.0000 0.0000
Th 0.0000 2.1625 8.1883
V 0.0000 2.1625 16.4352
Te 0.0000 0.0000 14.7237
Te 0.0000 0.0000 18.1465
Br 0.0000 0.0000 6.0469
Br 0.0000 0.0000 10.3203
Br 0.0000 2.1625 2.1407
Br 0.0000 2.1625 22.0733
```

Largest 6 diffraction maxima, sorted by position, 2θ = 10–80°:
d_spacing, two_theta, intensity
8.068, 10.97, 100
3.244, 27.50, 43
2.859, 31.29, 46
2.694, 33.25, 69
2.366, 38.04, 30
1.873, 48.62, 33

=====

(6)
TaNbPd3: computed X-ray powder pattern (Cu Kα (weighted mean of Kα1 and Kα2)), based on the GGA-PBE geometry in Alexandria.
No peak broadening, texture or thermal motion is included.

Structural model:
```
10
Lattice="2.6564 1.5337 6.8965 -2.6564 1.5337 6.8965 0.0000 -3.0674 6.8965" Properties=species:S:1:pos:R:3 pbc="T T T"
Ta 0.0000 0.0000 1.3533
Ta 0.0000 0.0000 19.3362
Nb 0.0000 0.0000 6.9105
Nb 0.0000 0.0000 13.7789
Pd -1.3365 -0.7716 9.2035
Pd 0.0000 -1.5432 11.4860
Pd -1.3365 0.7716 11.4860
Pd 1.3365 -0.7716 9.2035
Pd 0.0000 1.5432 9.2035
Pd 1.3365 0.7716 11.4860
```

Largest 6 diffraction maxima, sorted by position, 2θ = 10–80°:
d_spacing, two_theta, intensity
2.487, 36.12, 58
2.479, 36.24, 84
2.286, 39.41, 100
2.254, 39.99, 67
2.102, 43.03, 80
2.011, 45.09, 96

=====

(7)
Nb7Mo5: computed X-ray powder pattern (Cu Kα (weighted mean of Kα1 and Kα2)), based on the GGA-PBE geometry in Alexandria.
No peak broadening, texture or thermal motion is included.

Structural model:
```
12
Lattice="3.2585 -9.7521 0.0000 3.2585 9.7521 0.0000 0.0000 0.0000 3.2289" Properties=species:S:1:pos:R:3 pbc="T T T"
Nb 0.0000 0.0000 0.0000
Nb 3.2585 6.4355 0.0000
Nb 1.6768 1.6390 1.6144
Nb 1.6768 -1.6390 1.6144
Nb 4.8403 1.6390 1.6144
Nb 4.8403 -1.6390 1.6144
Nb 3.2585 -6.4355 0.0000
Mo 1.6293 4.8761 1.6144
Mo 3.2585 3.2937 0.0000
Mo 1.6293 -4.8761 1.6144
Mo 3.2585 0.0000 0.0000
Mo 3.2585 -3.2937 0.0000
```

Largest 6 diffraction maxima, sorted by position, 2θ = 10–80°:
d_spacing, two_theta, intensity
2.301, 39.14, 50
2.292, 39.31, 100
1.629, 56.48, 8
1.625, 56.63, 8
1.327, 71.04, 33
1.322, 71.37, 16

=====

(8)
AgPd7Au3: computed X-ray powder pattern (Cu Kα (weighted mean of Kα1 and Kα2)), based on the GGA-PBE geometry in Alexandria.
No peak broadening, texture or thermal motion is included.

Structural model:
```
11
Lattice="4.9027 0.0000 0.0000 -1.6236 5.4491 0.0000 -1.0045 -1.7999 7.0882" Properties=species:S:1:pos:R:3 pbc="T T T"
Ag 0.0000 0.0000 0.0000
Pd 1.4689 -1.0783 5.8407
Pd 0.6662 1.6452 5.8439
Pd 0.8305 4.6820 1.1317
Pd 1.6983 1.9409 1.1186
Pd 3.9513 -0.3105 4.6350
Pd 3.1993 3.8995 2.3220
Pd 3.1540 2.3879 4.6403
Au -1.7802 0.8870 7.0731
Au 0.7022 3.1206 3.4435
Au 1.5103 0.4444 3.4285
```

Largest 6 diffraction maxima, sorted by position, 2θ = 10–80°:
d_spacing, two_theta, intensity
2.299, 39.18, 100
2.295, 39.25, 33
2.018, 44.91, 25
2.009, 45.14, 22
1.947, 46.66, 20
1.401, 66.77, 14

=====

(9)
CaCd9Ag2: computed X-ray powder pattern (Cu Kα (weighted mean of Kα1 and Kα2)), based on the GGA-PBE geometry in Alexandria.
No peak broadening, texture or thermal motion is included.

Structural model:
```
24
Lattice="-5.9685 5.9685 3.8292 5.9685 -5.9685 3.8292 5.9685 5.9685 -3.8292" Properties=species:S:1:pos:R:3 pbc="T T T"
Ca 5.9685 2.9842 0.9573
Ca 0.0000 2.9842 2.8719
Cd 5.9685 -2.9842 2.8719
Cd 4.5301 -0.5779 1.3524
Cd 7.4068 -0.5779 1.3524
Cd 2.4063 1.5459 0.5622
Cd 9.5306 1.5459 0.5622
Cd 4.5301 5.3905 -1.3524
Cd 1.4384 -0.5779 2.4768
Cd 2.4063 4.4226 0.5622
Cd 3.5622 -1.5459 4.3914
Cd 2.4063 7.5144 -0.5622
Cd 3.5622 1.5459 3.2670
Cd 4.5301 6.5464 1.3524
Cd 1.4384 0.5779 5.1815
Cd -3.5622 4.4226 3.2670
Cd 3.5622 4.4226 3.2670
Cd -1.4384 6.5464 2.4768
Cd 1.4384 6.5464 2.4768
Cd 0.0000 8.9527 0.9573
Ag 0.0000 0.0000 0.0000
Ag 2.9842 2.9842 -1.9146
Ag 2.9842 -2.9842 1.9146
Ag 0.0000 5.9685 0.0000
```

Largest 6 diffraction maxima, sorted by position, 2θ = 10–80°:
d_spacing, two_theta, intensity
6.446, 13.74, 23
2.688, 33.33, 56
2.669, 33.57, 41
2.303, 39.11, 35
2.279, 39.54, 100
2.190, 41.23, 32

=====

(10)
AcMg2Zn9: computed X-ray powder pattern (Cu Kα (weighted mean of Kα1 and Kα2)), based on the GGA-PBE geometry in Alexandria.
No peak broadening, texture or thermal motion is included.

Structural model:
```
12
Lattice="2.7291 1.5756 8.4625 -2.7291 1.5756 8.4625 0.0000 -3.1512 8.4625" Properties=species:S:1:pos:R:3 pbc="T T T"
Ac 0.0000 0.0000 0.0000
Mg 0.0000 0.0000 3.6273
Mg 0.0000 0.0000 21.7604
Zn -1.3963 -0.8062 10.6691
Zn 0.0000 0.0000 8.4893
Zn 0.0000 -1.6123 14.7185
Zn -1.3963 0.8062 14.7185
Zn 0.0000 0.0000 12.6938
Zn 1.3963 -0.8062 10.6691
Zn 0.0000 1.6123 10.6691
Zn 0.0000 0.0000 16.8983
Zn 1.3963 0.8062 14.7186
```

Largest 6 diffraction maxima, sorted by position, 2θ = 10–80°:
d_spacing, two_theta, intensity
8.463, 10.45, 46
3.791, 23.47, 35
2.729, 32.82, 26
2.597, 34.53, 25
2.353, 38.25, 33
2.293, 39.28, 100

=====

(11)
PmYCd: computed X-ray powder pattern (Cu Kα (weighted mean of Kα1 and Kα2)), based on the GGA-PBE geometry in Alexandria.
No peak broadening, texture or thermal motion is included.

Structural model:
```
6
Lattice="3.6743 0.0000 0.0000 0.0000 3.6743 0.0000 0.0000 0.0000 13.0999" Properties=species:S:1:pos:R:3 pbc="T T T"
Pm 0.0000 0.0000 0.0000
Pm 1.8372 1.8372 6.5499
Y 0.0000 0.0000 4.0641
Y 1.8372 1.8372 10.6141
Cd 0.0000 0.0000 8.6641
Cd 1.8372 1.8372 2.1141
```

Largest 6 diffraction maxima, sorted by position, 2θ = 10–80°:
d_spacing, two_theta, intensity
2.811, 31.83, 100
2.598, 34.52, 41
2.183, 41.35, 11
1.837, 49.62, 15
1.672, 54.93, 19
1.538, 60.17, 31

=====

(12)
Ac3Al2Tl2: computed X-ray powder pattern (Cu Kα (weighted mean of Kα1 and Kα2)), based on the GGA-PBE geometry in Alexandria.
No peak broadening, texture or thermal motion is included.

Structural model:
```
14
Lattice="12.4933 0.0000 0.0000 0.0000 4.4715 0.0000 -3.9246 0.0000 8.2490" Properties=species:S:1:pos:R:3 pbc="T T T"
Ac 0.0000 0.0000 0.0000
Ac -0.2243 0.0000 5.3609
Ac 2.5463 2.2357 2.8880
Ac 6.2467 2.2357 0.0000
Ac 6.0224 2.2357 5.3609
Ac 8.7930 0.0000 2.8880
Al -1.2831 2.2357 7.7603
Al 3.6052 0.0000 0.4886
Al 4.9635 0.0000 7.7603
Al 9.8518 2.2357 0.4886
Tl -0.8482 2.2357 2.6996
Tl 3.1703 0.0000 5.5494
Tl 5.3984 0.0000 2.6996
Tl 9.4169 2.2357 5.5494
```

Largest 6 diffraction maxima, sorted by position, 2θ = 10–80°:
d_spacing, two_theta, intensity
3.496, 25.48, 75
3.191, 27.96, 100
3.109, 28.72, 36
3.047, 29.32, 38
2.750, 32.56, 51
2.476, 36.28, 39